Computed powder diffractogram of Pr2ZnNi2Rh5 for Cu Kα X-rays, from DFT lattice parameters and positions (PBE).
Intensities are scaled so that the largest is 100.

Top 8 peaks for 2θ from 15° to 90°, most intense first:
- 38.4°, I 100
- 39.9°, I 55
- 42.0°, I 41
- 31.5°, I 33
- 46.7°, I 31
- 63.1°, I 29
- 35.8°, I 28
- 41.1°, I 20

Cell and atoms:
abc: 9.309 9.309 3.886
angles: 90.00 90.00 90.00
Fractional positions:
Pr (0.178, 0.322, 0.000)
Pr (0.322, 0.822, 0.000)
Pr (0.678, 0.178, 0.000)
Pr (0.822, 0.678, 0.000)
Zn (0.000, 0.000, 0.000)
Zn (0.500, 0.500, 0.000)
Ni (0.121, 0.621, 0.000)
Ni (0.379, 0.121, 0.000)
Ni (0.621, 0.879, 0.000)
Ni (0.879, 0.379, 0.000)
Rh (0.000, 0.500, 0.500)
Rh (0.064, 0.794, 0.500)
Rh (0.206, 0.064, 0.500)
Rh (0.294, 0.564, 0.500)
Rh (0.436, 0.294, 0.500)
Rh (0.500, 0.000, 0.500)
Rh (0.564, 0.706, 0.500)
Rh (0.706, 0.436, 0.500)
Rh (0.794, 0.936, 0.500)
Rh (0.936, 0.206, 0.500)

Computed powder diffractogram of BC3 for Cu Kα X-rays, from DFT lattice parameters and positions (PBE).
Intensities are scaled so that the largest is 100.

Top 8 peaks for 2θ from 15° to 90°, most intense first:
- 42.7°, I 100
- 42.8°, I 98
- 71.9°, I 53
- 84.2°, I 16
- 75.5°, I 13
- 75.2°, I 12
- 22.9°, I 9
- 15.2°, I 4

Cell and atoms:
abc: 2.519 2.528 11.632
angles: 90.00 90.00 90.00
Fractional positions:
B (0.000, 0.000, 0.000)
B (0.000, 0.000, 0.332)
B (0.000, 0.500, 0.741)
C (0.000, 0.000, 0.651)
C (0.000, 0.500, 0.089)
C (0.000, 0.500, 0.423)
C (0.500, 0.000, 0.241)
C (0.500, 0.000, 0.578)
C (0.500, 0.000, 0.905)
C (0.500, 0.500, 0.165)
C (0.500, 0.500, 0.496)
C (0.500, 0.500, 0.835)

Computed powder diffractogram of Tb4Ga for Cu Kα X-rays, from DFT lattice parameters and positions (PBE).
Intensities are scaled so that the largest is 100.

Top 8 peaks for 2θ from 15° to 90°, most intense first:
- 31.6°, I 100
- 31.8°, I 91
- 36.4°, I 49
- 46.3°, I 34
- 27.7°, I 28
- 30.4°, I 26
- 34.3°, I 25
- 59.6°, I 24

Cell and atoms:
abc: 8.487 8.487 8.487
angles: 135.33 135.33 65.02
Fractional positions:
Tb (0.066, 0.194, 0.353)
Tb (0.213, 0.566, 0.372)
Tb (0.306, 0.159, 0.872)
Tb (0.341, 0.713, 0.147)
Tb (0.659, 0.287, 0.853)
Tb (0.694, 0.841, 0.128)
Tb (0.787, 0.434, 0.628)
Tb (0.934, 0.806, 0.647)
Ga (0.375, 0.125, 0.250)
Ga (0.625, 0.875, 0.750)

Computed powder diffractogram of Nb3WSe8 for Cu Kα X-rays, from DFT lattice parameters and positions (PBE).
Intensities are scaled so that the largest is 100.

Top 8 peaks for 2θ from 15° to 90°, most intense first:
- 37.4°, I 100
- 34.9°, I 72
- 30.3°, I 61
- 53.3°, I 55
- 43.6°, I 44
- 31.3°, I 36
- 79.4°, I 34
- 47.0°, I 32

Cell and atoms:
abc: 7.055 7.055 11.929
angles: 98.10 98.10 28.19
Fractional positions:
Nb (0.000, 0.000, 0.000)
Nb (0.500, 0.500, 0.257)
Nb (0.501, 0.501, 0.740)
W (0.001, 0.001, 0.501)
Se (0.124, 0.124, 0.852)
Se (0.125, 0.125, 0.359)
Se (0.376, 0.376, 0.066)
Se (0.376, 0.376, 0.556)
Se (0.624, 0.624, 0.107)
Se (0.626, 0.626, 0.598)
Se (0.875, 0.875, 0.318)
Se (0.878, 0.878, 0.811)

Computed powder diffractogram of Ag24Au5 for Cu Kα X-rays, from DFT lattice parameters and positions (PBE).
Intensities are scaled so that the largest is 100.

Top 8 peaks for 2θ from 15° to 90°, most intense first:
- 37.4°, I 100
- 41.5°, I 24
- 67.5°, I 21
- 43.5°, I 14
- 64.6°, I 12
- 35.2°, I 12
- 45.3°, I 11
- 32.8°, I 9

Cell and atoms:
abc: 8.836 8.836 8.836
angles: 109.47 109.47 109.47
Fractional positions:
Ag (0.000, 0.310, 0.585)
Ag (0.000, 0.585, 0.310)
Ag (0.000, 0.619, 0.808)
Ag (0.000, 0.808, 0.619)
Ag (0.189, 0.381, 0.381)
Ag (0.192, 0.192, 0.811)
Ag (0.192, 0.811, 0.192)
Ag (0.275, 0.690, 0.690)
Ag (0.310, 0.000, 0.585)
Ag (0.310, 0.585, 0.000)
Ag (0.381, 0.189, 0.381)
Ag (0.381, 0.381, 0.189)
Ag (0.415, 0.415, 0.725)
Ag (0.415, 0.725, 0.415)
Ag (0.585, 0.000, 0.310)
Ag (0.585, 0.310, 0.000)
Ag (0.619, 0.000, 0.808)
Ag (0.619, 0.808, 0.000)
Ag (0.690, 0.275, 0.690)
Ag (0.690, 0.690, 0.275)
Ag (0.725, 0.415, 0.415)
Ag (0.808, 0.000, 0.619)
Ag (0.808, 0.619, 0.000)
Ag (0.811, 0.192, 0.192)
Au (0.000, 0.000, 0.000)
Au (0.000, 0.000, 0.338)
Au (0.000, 0.338, 0.000)
Au (0.338, 0.000, 0.000)
Au (0.662, 0.662, 0.662)

Computed powder diffractogram of Sm2Dy6Sc3 for Cu Kα X-rays, from DFT lattice parameters and positions (PBE).
Intensities are scaled so that the largest is 100.

Top 8 peaks for 2θ from 15° to 90°, most intense first:
- 31.4°, I 100
- 36.5°, I 66
- 31.6°, I 32
- 62.6°, I 27
- 52.5°, I 23
- 52.7°, I 15
- 62.5°, I 14
- 86.0°, I 9

Cell and atoms:
abc: 6.039 7.770 7.795
angles: 107.57 105.09 97.48
Fractional positions:
Sm (0.136, 0.232, 0.047)
Sm (0.864, 0.768, 0.953)
Dy (0.225, 0.047, 0.410)
Dy (0.318, 0.855, 0.768)
Dy (0.409, 0.678, 0.141)
Dy (0.591, 0.322, 0.859)
Dy (0.682, 0.145, 0.232)
Dy (0.775, 0.953, 0.590)
Sc (0.046, 0.411, 0.675)
Sc (0.500, 0.500, 0.500)
Sc (0.954, 0.589, 0.325)

Computed powder diffractogram of Pr6ErHg2 for Cu Kα X-rays, from DFT lattice parameters and positions (PBE).
Intensities are scaled so that the largest is 100.

Top 8 peaks for 2θ from 15° to 90°, most intense first:
- 32.0°, I 100
- 30.6°, I 32
- 30.9°, I 19
- 57.8°, I 12
- 47.7°, I 10
- 55.3°, I 8
- 78.9°, I 8
- 44.1°, I 8

Cell and atoms:
abc: 6.808 6.808 12.322
angles: 108.05 108.05 32.50
Fractional positions:
Pr (0.024, 0.024, 0.335)
Pr (0.309, 0.309, 0.408)
Pr (0.315, 0.315, 0.124)
Pr (0.685, 0.685, 0.876)
Pr (0.691, 0.691, 0.592)
Pr (0.976, 0.976, 0.665)
Er (0.000, 0.000, 0.000)
Hg (0.365, 0.365, 0.812)
Hg (0.635, 0.635, 0.188)

Computed powder diffractogram of NdNiAs for Cu Kα X-rays, from DFT lattice parameters and positions (PBE).
Intensities are scaled so that the largest is 100.

Top 8 peaks for 2θ from 15° to 90°, most intense first:
- 40.6°, I 100
- 43.2°, I 60
- 34.2°, I 52
- 30.2°, I 48
- 33.1°, I 30
- 77.5°, I 29
- 59.3°, I 25
- 56.2°, I 25

Cell and atoms:
abc: 4.187 4.187 6.719
angles: 90.00 90.00 90.00
Fractional positions:
Nd (0.250, 0.250, 0.191)
Nd (0.750, 0.750, 0.809)
Ni (0.250, 0.750, 0.500)
Ni (0.750, 0.250, 0.500)
As (0.250, 0.250, 0.710)
As (0.750, 0.750, 0.290)